Entry 1:
The following is a simulated X-ray powder pattern of ZnNiP2O7. It was derived from a cell relaxed with GGA+U, using Cu Kα, 1.54184 Å.
Neutral-atom scattering factors, no anomalous dispersion.

Most intense lines, 2θ from 10° to 90°, by angle:
| 2θ (°) | I_rel |
| --- | --- |
| 18.00 | 14 |
| 20.24 | 15 |
| 24.34 | 14 |
| 29.18 | 77 |
| 29.58 | 100 |
| 29.83 | 23 |
| 33.45 | 22 |
| 41.79 | 21 |

Crystal structure
```
data_ZnNiP2O7
_chemical_formula_sum 'Zn2 Ni2 P4 O14'
_cell_length_a 5.652
_cell_length_b 6.364
_cell_length_c 7.370
_cell_angle_alpha 82.87
_cell_angle_beta 87.74
_cell_angle_gamma 71.44
_space_group_name_H-M_alt 'P -1'
_space_group_IT_number 2
loop_
_space_group_symop_operation_xyz
'x,y,z'
'-x,-y,-z'
loop_
_atom_site_label
_atom_site_type_symbol
_atom_site_fract_x
_atom_site_fract_y
_atom_site_fract_z
Zn1 Zn 0.170 0.344 0.338
Ni1 Ni 0.246 0.840 0.795
P1 P 0.268 0.802 0.385
P2 P 0.317 0.313 0.904
O1 O 0.103 0.044 0.326
O2 O 0.115 0.641 0.425
O3 O 0.152 0.551 0.833
O4 O 0.205 0.134 0.876
O5 O 0.402 0.304 0.103
O6 O 0.426 0.725 0.208
O7 O 0.438 0.791 0.547
```

=====

Entry 2:
The following is a simulated X-ray powder pattern of LiMn4Co2O12. It was derived from a cell relaxed with GGA+U, using Cu Kα, 1.54184 Å.
Neutral-atom scattering factors, no anomalous dispersion.

Most intense lines, 2θ from 10° to 90°, by angle:
| 2θ (°) | I_rel |
| --- | --- |
| 17.50 | 100 |
| 35.37 | 10 |
| 36.49 | 13 |
| 36.67 | 12 |
| 39.66 | 10 |
| 44.51 | 13 |
| 44.95 | 13 |
| 50.90 | 10 |

Crystal structure
```
data_LiMn4Co2O12
_chemical_formula_sum 'Li1 Mn4 Co2 O12'
_cell_length_a 5.059
_cell_length_b 5.070
_cell_length_c 10.135
_cell_angle_alpha 89.43
_cell_angle_beta 89.48
_cell_angle_gamma 60.21
_space_group_name_H-M_alt 'P 1'
_space_group_IT_number 1
loop_
_space_group_symop_operation_xyz
'x,y,z'
loop_
_atom_site_label
_atom_site_type_symbol
_atom_site_fract_x
_atom_site_fract_y
_atom_site_fract_z
Li1 Li 0.000 0.000 0.000
Mn1 Mn 0.179 0.975 0.263
Mn2 Mn 0.345 0.144 0.753
Mn3 Mn 0.679 0.475 0.753
Mn4 Mn 0.847 0.647 0.255
Co1 Co 0.012 0.810 0.739
Co2 Co 0.511 0.310 0.259
O1 O 0.011 0.467 0.850
O2 O 0.014 0.154 0.655
O3 O 0.159 0.675 0.154
O4 O 0.179 0.315 0.351
O5 O 0.338 0.811 0.850
O6 O 0.359 0.462 0.655
O7 O 0.512 0.976 0.162
O8 O 0.516 0.642 0.352
O9 O 0.670 0.807 0.656
O10 O 0.680 0.141 0.851
O11 O 0.852 0.302 0.160
O12 O 0.859 0.958 0.357
```